[1]
Theoretical X-ray powder pattern
Compound: GdBN2
Radiation: Cu Kα (λ = 1.5418 Å)
Structure: a structure optimized by DFT (GGA-PBE)
Kinematic intensities with the Lorentz-polarization factor, no thermal factor.

Crystal structure
abc: 7.211 7.211 7.211
angles: 110.94 110.94 110.94
Fractional positions:
Gd1 0.000 0.454 0.546
Gd2 0.046 0.954 0.500
Gd3 0.454 0.546 0.000
Gd4 0.500 0.046 0.954
Gd5 0.546 0.000 0.454
Gd6 0.954 0.500 0.046
B1 0.002 0.123 0.880
B2 0.123 0.880 0.002
B3 0.380 0.623 0.502
B4 0.502 0.380 0.623
B5 0.623 0.502 0.380
B6 0.880 0.002 0.123
N1 0.001 0.245 0.755
N2 0.002 0.877 0.127
N3 0.127 0.002 0.877
N4 0.245 0.755 0.001
N5 0.255 0.745 0.501
N6 0.377 0.502 0.627
N7 0.501 0.255 0.745
N8 0.502 0.627 0.377
N9 0.627 0.377 0.502
N10 0.745 0.501 0.255
N11 0.755 0.001 0.245
N12 0.877 0.127 0.002

The 10 most intense peaks (5° ≤ 2θ ≤ 70°), most intense first:
| Position (°2θ) | intensity |
| --- | --- |
| 32.0 | 1000 |
| 34.2 | 824 |
| 14.9 | 715 |
| 30.1 | 533 |
| 51.3 | 403 |
| 26.5 | 324 |
| 58.4 | 267 |
| 65.0 | 222 |
| 62.8 | 207 |
| 41.7 | 204 |

=====

[2]
Theoretical X-ray powder pattern
Compound: BaNb8P4
Radiation: Cu Kα (λ = 1.5418 Å)
Structure: a structure optimized by DFT (GGA-PBE)
Kinematic intensities with the Lorentz-polarization factor, no thermal factor.

Crystal structure
abc: 8.288 8.288 8.288
angles: 93.34 93.34 152.07
Fractional positions:
Ba1 0.000 0.000 0.000
Nb1 0.032 0.635 0.667
Nb2 0.219 0.328 0.548
Nb3 0.328 0.781 0.109
Nb4 0.365 0.032 0.398
Nb5 0.635 0.968 0.602
Nb6 0.672 0.219 0.891
Nb7 0.781 0.672 0.452
Nb8 0.968 0.365 0.333
P1 0.253 0.566 0.818
P2 0.434 0.253 0.687
P3 0.566 0.747 0.313
P4 0.747 0.434 0.182

The 10 most intense peaks (5° ≤ 2θ ≤ 70°), most intense first:
| Position (°2θ) | intensity |
| --- | --- |
| 39.7 | 1000 |
| 32.5 | 840 |
| 24.8 | 519 |
| 46.6 | 515 |
| 11.0 | 493 |
| 36.3 | 406 |
| 45.9 | 380 |
| 67.0 | 338 |
| 45.4 | 319 |
| 28.4 | 174 |

=====

[3]
Theoretical X-ray powder pattern
Compound: CsAs5Ir3
Radiation: Cu Kα (λ = 1.5418 Å)
Structure: a structure optimized by DFT (GGA-PBE)
Kinematic intensities with the Lorentz-polarization factor, no thermal factor.

Crystal structure
abc: 5.631 5.631 8.140
angles: 90.00 90.00 120.00
Fractional positions:
Cs1 0.000 0.000 0.000
As1 0.000 0.000 0.500
As2 0.333 0.667 0.264
As3 0.333 0.667 0.736
As4 0.667 0.333 0.264
As5 0.667 0.333 0.736
Ir1 0.000 0.500 0.500
Ir2 0.500 0.000 0.500
Ir3 0.500 0.500 0.500

The 10 most intense peaks (5° ≤ 2θ ≤ 70°), most intense first:
| Position (°2θ) | intensity |
| --- | --- |
| 10.9 | 1000 |
| 43.3 | 630 |
| 21.2 | 301 |
| 38.5 | 256 |
| 36.9 | 220 |
| 21.8 | 157 |
| 50.3 | 148 |
| 44.5 | 128 |
| 66.4 | 123 |
| 59.1 | 117 |

=====

[4]
Theoretical X-ray powder pattern
Compound: TcTe2
Radiation: Cu Kα (λ = 1.5418 Å)
Structure: a structure optimized by DFT (GGA-PBE)
Kinematic intensities with the Lorentz-polarization factor, no thermal factor.

Crystal structure
abc: 6.746 6.633 6.825
angles: 90.00 113.69 90.00
Fractional positions:
Tc1 0.225 0.001 0.207
Tc2 0.225 0.499 0.707
Tc3 0.775 0.501 0.293
Tc4 0.775 0.999 0.793
Te1 0.150 0.643 0.326
Te2 0.150 0.857 0.826
Te3 0.357 0.136 0.619
Te4 0.357 0.364 0.119
Te5 0.643 0.636 0.881
Te6 0.643 0.864 0.381
Te7 0.850 0.143 0.174
Te8 0.850 0.357 0.674

The 10 most intense peaks (5° ≤ 2θ ≤ 70°), most intense first:
| Position (°2θ) | intensity |
| --- | --- |
| 31.2 | 1000 |
| 32.0 | 593 |
| 31.7 | 543 |
| 47.9 | 525 |
| 42.6 | 429 |
| 42.1 | 326 |
| 49.1 | 320 |
| 28.9 | 305 |
| 28.6 | 264 |
| 20.6 | 196 |

=====

[5]
Theoretical X-ray powder pattern
Compound: PrHfAu
Radiation: Cu Kα (λ = 1.5418 Å)
Structure: a structure optimized by DFT (GGA-PBE)
Kinematic intensities with the Lorentz-polarization factor, no thermal factor.

Crystal structure
abc: 4.859 4.859 4.859
angles: 60.00 60.00 60.00
Fractional positions:
Pr1 0.000 0.000 0.000
Hf1 0.250 0.250 0.250
Au1 0.750 0.750 0.750

The 9 most intense peaks (5° ≤ 2θ ≤ 70°), most intense first:
| Position (°2θ) | intensity |
| --- | --- |
| 37.0 | 1000 |
| 66.7 | 362 |
| 25.9 | 250 |
| 22.4 | 187 |
| 53.3 | 176 |
| 60.2 | 101 |
| 43.7 | 97 |
| 45.7 | 76 |
| 58.5 | 41 |

=====

[6]
Theoretical X-ray powder pattern
Compound: Mo2C3
Radiation: Cu Kα (λ = 1.5418 Å)
Structure: a structure optimized by DFT (GGA-PBE)
Kinematic intensities with the Lorentz-polarization factor, no thermal factor.

Crystal structure
abc: 6.384 6.384 6.384
angles: 109.47 109.47 109.47
Fractional positions:
Mo1 0.000 0.360 0.500
Mo2 0.000 0.860 0.500
Mo3 0.140 0.140 0.140
Mo4 0.360 0.500 0.000
Mo5 0.500 0.000 0.360
Mo6 0.500 0.000 0.860
Mo7 0.640 0.640 0.640
Mo8 0.860 0.500 0.000
C1 0.030 0.750 0.780
C2 0.220 0.750 0.970
C3 0.250 0.530 0.280
C4 0.250 0.720 0.470
C5 0.280 0.250 0.530
C6 0.470 0.250 0.720
C7 0.530 0.280 0.250
C8 0.720 0.470 0.250
C9 0.750 0.780 0.030
C10 0.750 0.970 0.220
C11 0.780 0.030 0.750
C12 0.970 0.220 0.750

The 8 most intense peaks (5° ≤ 2θ ≤ 70°), most intense first:
| Position (°2θ) | intensity |
| --- | --- |
| 38.6 | 1000 |
| 29.7 | 836 |
| 46.1 | 795 |
| 64.4 | 579 |
| 34.4 | 329 |
| 61.6 | 319 |
| 58.7 | 75 |
| 69.9 | 52 |

=====

[7]
Theoretical X-ray powder pattern
Compound: RbTaBr2Cl4
Radiation: Cu Kα (λ = 1.5418 Å)
Structure: a structure optimized by DFT (GGA-PBE)
Kinematic intensities with the Lorentz-polarization factor, no thermal factor.

Crystal structure
abc: 13.773 13.773 6.104
angles: 98.06 98.06 139.18
Fractional positions:
Rb1 0.090 0.910 0.000
Rb2 0.910 0.090 0.000
Ta1 0.055 0.563 0.434
Ta2 0.563 0.055 0.434
Br1 0.278 0.859 0.454
Br2 0.484 0.847 0.147
Br3 0.847 0.484 0.147
Br4 0.859 0.278 0.454
Cl1 0.033 0.865 0.470
Cl2 0.104 0.663 0.825
Cl3 0.193 0.537 0.335
Cl4 0.313 0.392 0.468
Cl5 0.392 0.313 0.468
Cl6 0.537 0.193 0.335
Cl7 0.663 0.104 0.825
Cl8 0.865 0.033 0.470

The 10 most intense peaks (5° ≤ 2θ ≤ 70°), most intense first:
| Position (°2θ) | intensity |
| --- | --- |
| 6.8 | 1000 |
| 17.3 | 165 |
| 21.0 | 148 |
| 15.9 | 148 |
| 38.4 | 93 |
| 20.1 | 92 |
| 13.7 | 90 |
| 26.2 | 82 |
| 10.6 | 70 |
| 24.5 | 69 |

=====

[8]
Theoretical X-ray powder pattern
Compound: PuTl2S3
Radiation: Cu Kα (λ = 1.5418 Å)
Structure: a structure optimized by DFT (GGA-PBE)
Kinematic intensities with the Lorentz-polarization factor, no thermal factor.

Crystal structure
abc: 7.891 4.073 10.573
angles: 90.00 94.78 90.00
Fractional positions:
Pu1 0.079 0.250 0.161
Pu2 0.921 0.750 0.839
Tl1 0.252 0.750 0.493
Tl2 0.438 0.250 0.835
Tl3 0.562 0.750 0.165
Tl4 0.748 0.250 0.507
S1 0.046 0.250 0.711
S2 0.189 0.750 0.016
S3 0.366 0.250 0.306
S4 0.634 0.750 0.694
S5 0.811 0.250 0.984
S6 0.954 0.750 0.289

The 10 most intense peaks (5° ≤ 2θ ≤ 70°), most intense first:
| Position (°2θ) | intensity |
| --- | --- |
| 29.4 | 1000 |
| 26.4 | 486 |
| 23.5 | 340 |
| 25.4 | 279 |
| 40.9 | 247 |
| 43.3 | 225 |
| 50.9 | 141 |
| 39.6 | 136 |
| 47.1 | 126 |
| 54.3 | 118 |